[1]
LaSc5Cd6: calculated X-ray powder pattern (a wavelength of 1.5418 Å), based on a crystal structure in Alexandria, relaxed with PBE.
Neutral-atom scattering factors, no anomalous dispersion.

Largest 10 diffraction maxima, by angle, 2θ = 5–70°:
(0 2 0), 3.684 Å, 24.2 deg, rel. 5.6; (1 1 2), 3.653 Å, 24.4 deg, rel. 5.6; (1 0 3), 3.574 Å, 24.9 deg, rel. 12.0; (1 2 3), 2.565 Å, 35.0 deg, rel. 100.0; (2 0 0), 2.528 Å, 35.5 deg, rel. 49.8; (2 2 0), 2.084 Å, 43.4 deg, rel. 4.7; (0 4 0), 1.842 Å, 49.5 deg, rel. 7.8; (2 0 6), 1.787 Å, 51.1 deg, rel. 16.5; (2 4 0), 1.489 Å, 62.4 deg, rel. 14.6; (3 2 3), 1.466 Å, 63.4 deg, rel. 31.6

Crystal structure
abc: 5.056 7.367 15.162
angles: 90.00 90.00 90.00
Space group Immm (No. 71)
Asymmetric unit:
La1 0.000 0.000 0.000 [2 per cell]
Sc1 0.000 0.000 0.330 [4 per cell]
Sc2 0.000 0.500 0.000 [2 per cell]
Sc3 0.000 0.500 0.340 [4 per cell]
Cd1 0.000 0.221 0.500 [4 per cell]
Cd2 0.000 0.267 0.174 [8 per cell]

[2]
LaSc2Cd6: calculated X-ray powder pattern (a wavelength of 1.5418 Å), based on a crystal structure in Alexandria, relaxed with PBE.
Neutral-atom scattering factors, no anomalous dispersion.

Largest 10 diffraction maxima, by angle, 2θ = 5–70°:
(1 0 0), 7.475 Å, 11.8 deg, rel. 8.8; (0 0 1), 3.303 Å, 27.0 deg, rel. 18.5; (1 1 1), 2.623 Å, 34.2 deg, rel. 90.6; (3 0 0), 2.492 Å, 36.0 deg, rel. 100.0; (3 0 1), 1.989 Å, 45.6 deg, rel. 25.7; (2 2 1), 1.806 Å, 50.5 deg, rel. 28.6; (0 0 2), 1.652 Å, 55.7 deg, rel. 9.1; (4 1 1), 1.462 Å, 63.6 deg, rel. 27.5; (3 3 0), 1.438 Å, 64.8 deg, rel. 16.5; (3 0 2), 1.377 Å, 68.1 deg, rel. 28.8

Crystal structure
abc: 8.6309 8.6309 3.3031
angles: 90.00 90.00 120.00
Space group P6/mmm (No. 191)
Asymmetric unit:
La1 0.0000 0.0000 0.0000 [1 per cell]
Sc1 0.3333 0.6667 0.0000 [2 per cell]
Cd1 0.0000 0.3402 0.5000 [6 per cell]

[3]
La2CdSe4: calculated X-ray powder pattern (a wavelength of 1.5418 Å), based on a crystal structure in Alexandria, relaxed with PBE.
Neutral-atom scattering factors, no anomalous dispersion.

Largest 10 diffraction maxima, by angle, 2θ = 5–70°:
(1 1 2), 3.774 Å, 23.6 deg, rel. 28.5; (2 1 1), 3.678 Å, 24.2 deg, rel. 35.9; (1 0 3), 2.960 Å, 30.2 deg, rel. 95.3; (3 0 1), 2.840 Å, 31.5 deg, rel. 95.4; (3 1 0), 2.826 Å, 31.7 deg, rel. 100.0; (2 1 3), 2.467 Å, 36.4 deg, rel. 66.7; (3 1 2), 2.422 Å, 37.1 deg, rel. 52.4; (3 2 1), 2.396 Å, 37.5 deg, rel. 40.7; (3 2 3), 1.945 Å, 46.7 deg, rel. 38.6; (4 3 1), 1.756 Å, 52.1 deg, rel. 32.2

Crystal structure
abc: 8.935 8.935 9.410
angles: 90.00 90.00 90.00
Space group I-42d (No. 122)
Asymmetric unit:
La1 0.139 0.250 0.125 [8 per cell]
Cd1 0.000 0.000 0.500 [4 per cell]
Se1 0.069 0.196 0.812 [16 per cell]

[4]
La2CdSe: calculated X-ray powder pattern (a wavelength of 1.5418 Å), based on a crystal structure in Alexandria, relaxed with PBE.
Neutral-atom scattering factors, no anomalous dispersion.

Largest 10 diffraction maxima, by angle, 2θ = 5–70°:
(1 0 4), 3.149 Å, 28.3 deg, rel. 100.0; (0 1 5), 2.925 Å, 30.6 deg, rel. 5.2; (0 1 8), 2.318 Å, 38.9 deg, rel. 38.5; (1 1 0), 2.145 Å, 42.1 deg, rel. 35.1; (0 0 12), 1.977 Å, 45.9 deg, rel. 6.7; (0 2 4), 1.773 Å, 51.6 deg, rel. 18.6; (2 0 8), 1.574 Å, 58.6 deg, rel. 11.3; (1 1 12), 1.454 Å, 64.0 deg, rel. 14.5; (1 0 16), 1.377 Å, 68.1 deg, rel. 4.6; (2 1 4), 1.367 Å, 68.7 deg, rel. 15.5

Crystal structure
abc: 4.2901 4.2901 23.7282
angles: 90.00 90.00 120.00
Space group R-3m (No. 166, hexagonal axes)
Asymmetric unit:
La1 0.0000 0.0000 0.2405 [6 per cell]
Cd1 0.0000 0.0000 0.0000 [3 per cell]
Se1 0.0000 0.0000 0.5000 [3 per cell]